Sr3EuCl: calculated powder XRD pattern (CuKα), based on DFT lattice parameters and positions (PBE).
Neutral-atom scattering factors, no anomalous dispersion.

Structural model:
Lattice parameters (Å, degrees): 6.1248 6.1248 6.1248 90.00 90.00 90.00
Fractional coordinates of all 5 atoms:
Sr1 0.0000 0.0000 0.5000
Sr2 0.0000 0.5000 0.0000
Sr3 0.5000 0.0000 0.0000
Eu1 0.5000 0.5000 0.5000
Cl1 0.0000 0.0000 0.0000

Peak list (10 most intense, 15° ≤ 2θ ≤ 90°, low angle first)
20.51°, I = 18; 25.18°, I = 100; 29.16°, I = 74; 41.71°, I = 55; 49.35°, I = 49; 51.70°, I = 19; 66.55°, I = 20; 68.51°, I = 25; 76.14°, I = 19; 81.69°, I = 15